The following is a calculated powder diffraction line list of Rb2Ni3RhF12. It was derived from DFT lattice parameters and positions (GGA+U), using λ = 1.5418 Å (Cu Kα).
Peak positions follow from Bragg's law for the DFT cell and can differ from measured ones.

Largest 6 diffraction maxima, low angle first, 10° ≤ 2θ ≤ 90°:
two_theta, I_rel
28.05, 93
28.53, 100
28.77, 39
29.99, 70
48.99, 45
50.19, 50

Structural model:
Cell: 7.441 7.441 7.441 Å, 58.50 58.50 58.50°
Atoms (fractional coordinates):
Rb: 0.109 0.109 0.109
Rb: 0.891 0.891 0.891
Ni: 0.000 0.500 0.500
Ni: 0.500 0.000 0.500
Ni: 0.500 0.500 0.000
Rh: 0.500 0.500 0.500
F: 0.177 0.177 0.576
F: 0.177 0.576 0.177
F: 0.179 0.576 0.576
F: 0.424 0.424 0.821
F: 0.424 0.821 0.424
F: 0.424 0.823 0.823
F: 0.576 0.177 0.177
F: 0.576 0.179 0.576
F: 0.576 0.576 0.179
F: 0.821 0.424 0.424
F: 0.823 0.424 0.823
F: 0.823 0.823 0.424